1.
# Ce2PrErS5
Theoretical powder diffraction line list, λ = 1.5418 Å (Cu Kα). Input: a structure optimized by DFT (GGA-PBE).
Kinematic intensities with the Lorentz-polarization factor, no thermal factor.

Top 10 peaks for 10 to 80 degrees two-theta, by intensity:
2theta  Rel. int.
25.92  1000
24.89  967
36.98  573
45.09  415
31.36  290
36.52  221
51.06  199
53.29  195
60.19  188
43.19  183

Crystal structure
```
Ce2PrErS5
1.0
4.862 0.000 0.000
0.000 4.862 0.000
0.000 0.000 10.567
Ce Pr Er S
2 1 1 5
Cartesian
0.000 0.000 2.031 Ce
0.000 0.000 8.536 Ce
2.431 2.431 5.283 Pr
2.431 2.431 0.000 Er
0.000 0.000 5.283 S
0.000 2.431 0.000 S
2.431 0.000 0.000 S
2.431 2.431 2.625 S
2.431 2.431 7.941 S
```

2.
# RbSBr2
Theoretical powder diffraction line list, λ = 1.5418 Å (Cu Kα). Input: a structure optimized by DFT (GGA-PBE).
Kinematic intensities with the Lorentz-polarization factor, no thermal factor.

Top 10 peaks for 10 to 80 degrees two-theta, by intensity:
2theta  Rel. int.
22.71  1000
35.82  583
32.40  469
21.32  389
38.10  248
30.25  164
47.14  138
50.13  135
30.47  129
43.21  128

Crystal structure
```
RbSBr2
1.0
-3.132 3.132 8.375
3.132 -3.132 8.375
3.132 3.132 -8.375
Rb S Br
2 2 4
Cartesian
0.000 0.000 0.000 Rb
0.000 3.132 4.188 Rb
3.132 0.000 4.188 S
0.000 0.000 8.375 S
1.566 -0.755 6.282 Br
2.377 1.566 2.094 Br
1.566 3.887 -2.094 Br
0.755 1.566 10.469 Br
```

3.
# Dy14YAl
Theoretical powder diffraction line list, λ = 1.5418 Å (Cu Kα). Input: a structure optimized by DFT (GGA-PBE).
Kinematic intensities with the Lorentz-polarization factor, no thermal factor.

Top 10 peaks for 10 to 80 degrees two-theta, by intensity:
2theta  Rel. int.
31.69  1000
33.24  342
32.78  187
31.52  165
28.21  130
58.41  126
47.39  124
53.32  90
34.31  89
64.29  87

Crystal structure
```
Dy14YAl
1.0
10.783 0.000 0.000
0.000 4.170 5.463
0.000 -4.170 5.463
Dy Y Al
14 1 1
Cartesian
0.000 0.000 0.000 Dy
0.000 0.000 4.934 Dy
0.000 -1.673 7.970 Dy
0.000 1.673 7.970 Dy
2.428 0.000 2.510 Dy
2.826 -1.712 5.599 Dy
2.826 1.712 5.599 Dy
3.023 0.000 8.648 Dy
5.391 -1.713 3.239 Dy
5.391 1.713 3.239 Dy
7.759 0.000 8.648 Dy
7.956 -1.712 5.599 Dy
7.956 1.712 5.599 Dy
8.354 0.000 2.510 Dy
5.391 0.000 0.291 Y
5.391 0.000 6.313 Al
```

4.
# La13In2
Theoretical powder diffraction line list, λ = 1.5418 Å (Cu Kα). Input: a structure optimized by DFT (GGA-PBE).
Kinematic intensities with the Lorentz-polarization factor, no thermal factor.

Top 10 peaks for 10 to 80 degrees two-theta, by intensity:
2theta  Rel. int.
29.80  1000
30.11  971
34.09  351
34.40  350
35.66  288
50.38  211
58.66  137
48.80  127
49.62  120
50.27  112

Crystal structure
```
La13In2
1.0
6.364 0.000 0.000
0.943 8.238 0.000
2.892 3.023 9.882
La In
13 2
Cartesian
0.000 0.000 0.000 La
2.823 5.533 7.177 La
2.077 2.164 2.182 La
4.968 7.724 9.306 La
3.879 2.040 6.431 La
4.279 4.448 3.995 La
4.163 7.009 1.407 La
6.035 4.252 8.475 La
5.919 6.813 5.887 La
6.319 9.221 3.451 La
5.231 3.538 0.576 La
8.121 9.097 7.700 La
7.376 5.728 2.705 La
2.978 7.889 4.598 In
7.221 3.372 5.284 In
```

5.
# SrZn2CuAu
Theoretical powder diffraction line list, λ = 1.5418 Å (Cu Kα). Input: a structure optimized by DFT (GGA-PBE).
Kinematic intensities with the Lorentz-polarization factor, no thermal factor.

Top 10 peaks for 10 to 80 degrees two-theta, by intensity:
2theta  Rel. int.
32.58  1000
38.82  596
53.74  456
19.13  443
35.68  377
27.18  275
66.36  257
68.25  219
56.06  200
62.14  156

Crystal structure
```
SrZn2CuAu
1.0
4.640 0.000 0.000
0.000 4.640 0.000
0.000 0.000 5.033
Sr Zn Cu Au
1 2 1 1
Cartesian
0.000 0.000 0.000 Sr
0.000 2.320 2.517 Zn
2.320 0.000 2.517 Zn
2.320 2.320 2.517 Cu
2.320 2.320 0.000 Au
```

6.
# Nd2SmHo4Tm
Theoretical powder diffraction line list, λ = 1.5418 Å (Cu Kα). Input: a structure optimized by DFT (GGA-PBE).
Kinematic intensities with the Lorentz-polarization factor, no thermal factor.

Top 10 peaks for 10 to 80 degrees two-theta, by intensity:
2theta  Rel. int.
30.30  1000
40.97  588
26.89  451
40.90  294
64.48  228
61.13  180
53.77  134
69.85  122
61.29  90
63.09  83

Crystal structure
```
Nd2SmHo4Tm
1.0
6.819 -6.631 0.000
6.819 6.631 0.000
-3.388 0.000 5.895
Nd Sm Ho Tm
4 2 8 2
Cartesian
0.000 0.000 0.000 Nd
-1.694 0.000 2.947 Nd
3.409 3.315 0.000 Nd
1.715 -3.315 2.947 Nd
1.715 3.315 2.947 Sm
3.409 -3.315 0.000 Sm
1.767 0.003 2.983 Ho
5.120 3.240 2.947 Ho
3.461 -0.003 0.036 Ho
6.823 3.240 0.001 Ho
3.426 -3.240 5.894 Ho
6.788 0.003 5.859 Ho
5.129 -3.240 2.948 Ho
8.482 -0.003 2.911 Ho
6.819 0.000 0.000 Tm
5.124 0.000 2.947 Tm
```

7.
# Nd6TlSb3
Theoretical powder diffraction line list, λ = 1.5418 Å (Cu Kα). Input: a structure optimized by DFT (GGA-PBE).
Kinematic intensities with the Lorentz-polarization factor, no thermal factor.

Top 10 peaks for 10 to 80 degrees two-theta, by intensity:
2theta  Rel. int.
29.99  1000
31.02  898
32.99  836
22.26  576
37.36  460
26.09  449
42.28  413
30.25  279
46.22  252
49.31  245

Crystal structure
```
Nd6TlSb3
1.0
5.892 -7.613 0.000
5.892 7.613 0.000
0.000 0.000 7.750
Nd Tl Sb
12 2 6
Cartesian
5.892 -7.606 0.000 Nd
5.892 7.606 3.875 Nd
3.657 3.446 3.799 Nd
5.892 3.919 6.671 Nd
3.879 0.733 7.023 Nd
3.879 -0.733 3.148 Nd
8.128 3.446 3.799 Nd
3.657 -3.446 7.674 Nd
7.905 0.733 7.023 Nd
7.905 -0.733 3.148 Nd
5.892 -3.919 2.796 Nd
8.128 -3.446 7.674 Nd
5.892 4.930 1.955 Tl
5.892 -4.930 5.830 Tl
2.140 1.490 1.813 Sb
2.140 -1.490 5.688 Sb
5.892 1.274 4.624 Sb
5.892 -1.274 0.749 Sb
9.644 1.490 1.813 Sb
9.644 -1.490 5.688 Sb
```

8.
# PrCdCuPb
Theoretical powder diffraction line list, λ = 1.5418 Å (Cu Kα). Input: a structure optimized by DFT (GGA-PBE).
Kinematic intensities with the Lorentz-polarization factor, no thermal factor.

Top 10 peaks for 10 to 80 degrees two-theta, by intensity:
2theta  Rel. int.
34.68  1000
62.17  364
49.86  178
73.19  112
24.34  111
56.24  52
21.03  47
42.82  36
40.92  28
78.44  27

Crystal structure
```
PrCdCuPb
1.0
0.000 3.658 3.658
3.658 0.000 3.658
3.658 3.658 0.000
Pr Cd Cu Pb
1 1 1 1
Cartesian
0.000 0.000 0.000 Pr
1.829 1.829 1.829 Cd
5.486 5.486 5.486 Cu
3.658 3.658 3.658 Pb
```

9.
# PrHf2Ni9
Theoretical powder diffraction line list, λ = 1.5418 Å (Cu Kα). Input: a structure optimized by DFT (GGA-PBE).
Kinematic intensities with the Lorentz-polarization factor, no thermal factor.

Top 10 peaks for 10 to 80 degrees two-theta, by intensity:
2theta  Rel. int.
43.25  1000
36.50  566
33.70  467
42.58  378
36.82  337
70.36  224
77.56  218
46.68  170
47.07  170
11.15  163

Crystal structure
```
PrHf2Ni9
1.0
2.462 1.421 7.939
-2.462 1.421 7.939
0.000 -2.842 7.939
Pr Hf Ni
1 2 9
Cartesian
0.000 0.000 0.000 Pr
0.000 0.000 3.364 Hf
0.000 0.000 20.453 Hf
-1.251 -0.722 10.009 Ni
0.000 0.000 7.945 Ni
0.000 -1.445 13.808 Ni
-1.251 0.722 13.808 Ni
0.000 0.000 11.908 Ni
1.251 -0.722 10.009 Ni
0.000 1.445 10.009 Ni
0.000 0.000 15.872 Ni
1.251 0.722 13.808 Ni
```

10.
# Cs2ThGa2O6
Theoretical powder diffraction line list, λ = 1.5418 Å (Cu Kα). Input: a structure optimized by DFT (GGA-PBE).
Kinematic intensities with the Lorentz-polarization factor, no thermal factor.

Top 10 peaks for 10 to 80 degrees two-theta, by intensity:
2theta  Rel. int.
27.73  1000
28.35  827
49.85  258
16.86  224
40.03  211
50.21  208
58.65  152
24.20  146
49.72  136
48.61  132

Crystal structure
```
Cs2ThGa2O6
1.0
5.453 -3.148 0.000
5.453 3.148 0.000
-3.605 0.000 6.642
Cs Th Ga O
2 1 2 6
Cartesian
1.817 0.000 0.833 Cs
5.483 0.000 5.809 Cs
-1.803 0.000 3.321 Th
1.848 0.000 4.716 Ga
5.452 0.000 1.926 Ga
0.058 0.000 4.710 O
2.744 1.550 4.743 O
4.556 1.550 1.899 O
2.744 -1.550 4.743 O
4.556 -1.550 1.899 O
7.242 0.000 1.932 O
```

11.
# CeHoSeO2
Theoretical powder diffraction line list, λ = 1.5418 Å (Cu Kα). Input: a structure optimized by DFT (GGA-PBE).
Kinematic intensities with the Lorentz-polarization factor, no thermal factor.

Top 10 peaks for 10 to 80 degrees two-theta, by intensity:
2theta  Rel. int.
31.78  1000
57.73  413
32.66  406
56.07  220
46.86  208
44.27  166
24.07  129
77.41  119
66.41  88
77.91  70

Crystal structure
```
CeHoSeO2
1.0
-1.939 1.939 6.142
1.939 -1.939 6.142
1.939 1.939 -6.142
Ce Ho Se O
1 1 1 2
Cartesian
0.000 0.000 0.000 Ce
0.000 0.000 8.520 Ho
0.000 0.000 4.273 Se
1.939 0.000 1.278 O
0.000 1.939 1.278 O
```

12.
# HgS3Br
Theoretical powder diffraction line list, λ = 1.5418 Å (Cu Kα). Input: a structure optimized by DFT (GGA-PBE).
Kinematic intensities with the Lorentz-polarization factor, no thermal factor.

Top 10 peaks for 10 to 80 degrees two-theta, by intensity:
2theta  Rel. int.
12.21  1000
18.63  767
25.08  651
19.22  459
27.92  365
35.06  360
43.53  277
36.24  270
14.08  221
31.34  210

Crystal structure
```
HgS3Br
1.0
7.256 0.000 0.000
0.000 6.799 0.000
-3.090 0.000 7.247
Hg S Br
2 6 2
Cartesian
1.426 0.000 0.390 Hg
2.740 3.400 6.857 Hg
-0.388 4.970 6.439 S
1.738 1.513 2.439 S
0.840 6.041 5.254 S
3.326 2.642 1.993 S
2.428 4.913 4.808 S
4.554 1.570 0.808 S
-0.581 5.213 1.499 Br
4.747 1.814 5.748 Br
```

13.
# TbPu4S6
Theoretical powder diffraction line list, λ = 1.5418 Å (Cu Kα). Input: a structure optimized by DFT (GGA-PBE).
Kinematic intensities with the Lorentz-polarization factor, no thermal factor.

Top 10 peaks for 10 to 80 degrees two-theta, by intensity:
2theta  Rel. int.
26.08  1000
32.05  515
27.42  497
33.62  448
27.12  337
43.59  323
54.28  322
45.39  305
25.50  288
31.07  265

Crystal structure
```
TbPu4S6
1.0
1.944 -6.576 0.000
1.944 6.576 0.000
0.000 0.000 19.999
Tb Pu S
2 8 12
Cartesian
1.944 4.612 14.999 Tb
1.944 -4.612 5.000 Tb
1.944 5.341 2.636 Pu
1.944 5.341 7.364 Pu
1.944 1.804 0.863 Pu
1.944 1.804 9.136 Pu
1.944 -1.804 10.862 Pu
1.944 -1.804 19.135 Pu
1.944 -5.341 12.635 Pu
1.944 -5.341 17.363 Pu
0.000 0.000 0.000 S
0.000 0.000 9.999 S
1.944 3.920 5.000 S
1.944 2.971 11.687 S
1.944 2.971 18.311 S
1.944 0.635 3.369 S
1.944 0.635 6.630 S
1.944 -0.635 13.368 S
1.944 -0.635 16.630 S
1.944 -2.971 1.688 S
1.944 -2.971 8.312 S
1.944 -3.920 14.999 S
```